(1)
LaHo2Mg3CdIn2: theoretical X-ray powder pattern (Cu Kα), based on a crystal structure in OQMD, relaxed with GGA-PBE.

```
data_LaHo2Mg3CdIn2
_symmetry_space_group_name_H-M 'A m m 2'
_symmetry_Int_Tables_number 38
_cell_length_a 4.707
_cell_length_b 13.350
_cell_length_c 7.504
_cell_angle_alpha 90.00
_cell_angle_beta 90.00
_cell_angle_gamma 90.00
loop_
_symmetry_equiv_pos_as_xyz
'x,y,z'
'-x,-y,z'
'-x,y,z'
'x,-y,z'
'x,y+1/2,z+1/2'
'-x,-y+1/2,z+1/2'
'-x,y+1/2,z+1/2'
'x,-y+1/2,z+1/2'
loop_
_atom_site_label
_atom_site_type_symbol
_atom_site_fract_x
_atom_site_fract_y
_atom_site_fract_z
La1 La 0.000 0.000 0.000
Ho1 Ho 0.000 0.213 0.636
Mg1 Mg 0.500 0.000 0.667
Mg2 Mg 0.500 0.120 0.307
Cd1 Cd 0.000 0.000 0.438
In1 In 0.500 0.171 0.923
```

Largest 10 diffraction maxima, in order of falling intensity, 2θ = 10–90°:
Position (°2θ), I/Imax, index
33.4, 1000, 1 2 2
30.1, 582, 1 3 1
32.9, 450, 1 4 0
38.2, 371, 2 0 0
30.5, 361, 1 0 2
23.2, 291, 0 3 1
41.4, 239, 0 3 3
27.3, 201, 0 2 2
47.6, 195, 0 6 2
18.9, 193, 1 0 0

(2)
NdHo2Cd4In2: theoretical X-ray powder pattern (Cu Kα), based on a crystal structure in OQMD, relaxed with GGA-PBE.

```
data_NdHo2Cd4In2
_symmetry_space_group_name_H-M 'A m m 2'
_symmetry_Int_Tables_number 38
_cell_length_a 4.645
_cell_length_b 13.116
_cell_length_c 7.460
_cell_angle_alpha 90.00
_cell_angle_beta 90.00
_cell_angle_gamma 90.00
loop_
_symmetry_equiv_pos_as_xyz
'x,y,z'
'-x,-y,z'
'-x,y,z'
'x,-y,z'
'x,y+1/2,z+1/2'
'-x,-y+1/2,z+1/2'
'-x,y+1/2,z+1/2'
'x,-y+1/2,z+1/2'
loop_
_atom_site_label
_atom_site_type_symbol
_atom_site_fract_x
_atom_site_fract_y
_atom_site_fract_z
Nd1 Nd 0.000 0.000 0.000
Ho1 Ho 0.000 0.214 0.637
Cd1 Cd 0.000 0.000 0.434
Cd2 Cd 0.500 0.000 0.670
Cd3 Cd 0.500 0.120 0.305
In1 In 0.500 0.170 0.924
```

Largest 10 diffraction maxima, in order of falling intensity, 2θ = 10–90°:
Position (°2θ), I/Imax, index
33.7, 1000, 1 2 2
30.5, 701, 1 3 1
33.4, 476, 1 4 0
38.8, 475, 2 0 0
30.7, 401, 1 0 2
41.8, 254, 0 3 3
54.2, 231, 2 5 1
36.3, 223, 0 5 1
36.5, 210, 0 4 2
54.5, 185, 2 1 3

(3)
Pr2HoCd4In2: theoretical X-ray powder pattern (Cu Kα), based on a crystal structure in OQMD, relaxed with GGA-PBE.

```
data_Pr2HoCd4In2
_symmetry_space_group_name_H-M 'A m m 2'
_symmetry_Int_Tables_number 38
_cell_length_a 4.699
_cell_length_b 13.067
_cell_length_c 7.677
_cell_angle_alpha 90.00
_cell_angle_beta 90.00
_cell_angle_gamma 90.00
loop_
_symmetry_equiv_pos_as_xyz
'x,y,z'
'-x,-y,z'
'-x,y,z'
'x,-y,z'
'x,y+1/2,z+1/2'
'-x,-y+1/2,z+1/2'
'-x,y+1/2,z+1/2'
'x,-y+1/2,z+1/2'
loop_
_atom_site_label
_atom_site_type_symbol
_atom_site_fract_x
_atom_site_fract_y
_atom_site_fract_z
Pr1 Pr 0.000 0.211 0.000
Ho1 Ho 0.000 0.000 0.364
Cd1 Cd 0.000 0.000 0.777
Cd2 Cd 0.500 0.000 0.026
Cd3 Cd 0.500 0.121 0.665
In1 In 0.500 0.163 0.288
```

Largest 10 diffraction maxima, in order of falling intensity, 2θ = 10–90°:
Position (°2θ), I/Imax, index
33.1, 1000, 1 2 2
30.3, 842, 1 3 1
33.4, 541, 1 4 0
38.3, 515, 2 0 0
30.1, 364, 1 0 2
35.8, 259, 0 1 3
53.4, 244, 2 1 3
53.8, 222, 2 5 1
36.1, 210, 0 4 2
64.2, 194, 1 1 5

(4)
PrHo2Cd4In2: theoretical X-ray powder pattern (Cu Kα), based on a crystal structure in OQMD, relaxed with GGA-PBE.

```
data_PrHo2Cd4In2
_symmetry_space_group_name_H-M 'A m m 2'
_symmetry_Int_Tables_number 38
_cell_length_a 4.658
_cell_length_b 13.156
_cell_length_c 7.461
_cell_angle_alpha 90.00
_cell_angle_beta 90.00
_cell_angle_gamma 90.00
loop_
_symmetry_equiv_pos_as_xyz
'x,y,z'
'-x,-y,z'
'-x,y,z'
'x,-y,z'
'x,y+1/2,z+1/2'
'-x,-y+1/2,z+1/2'
'-x,y+1/2,z+1/2'
'x,-y+1/2,z+1/2'
loop_
_atom_site_label
_atom_site_type_symbol
_atom_site_fract_x
_atom_site_fract_y
_atom_site_fract_z
Pr1 Pr 0.000 0.000 0.000
Ho1 Ho 0.000 0.214 0.636
Cd1 Cd 0.000 0.000 0.436
Cd2 Cd 0.500 0.000 0.670
Cd3 Cd 0.500 0.120 0.305
In1 In 0.500 0.170 0.923
```

Largest 10 diffraction maxima, in order of falling intensity, 2θ = 10–90°:
Position (°2θ), I/Imax, index
33.7, 1000, 1 2 2
30.5, 698, 1 3 1
38.7, 477, 2 0 0
33.4, 472, 1 4 0
30.7, 411, 1 0 2
41.7, 258, 0 3 3
54.0, 235, 2 5 1
36.2, 228, 0 5 1
36.4, 213, 0 4 2
54.4, 180, 2 1 3